# NdTm4Sc6
Simulated powder XRD pattern, Cu Kα X-rays. Input: DFT lattice parameters and positions (PBE).
No peak broadening, texture or thermal motion is included.

Most intense lines, 15 to 90 degrees two-theta, by angle:
| 2θ (°) | Rel. int. |
| --- | --- |
| 20.64 | 33 |
| 21.12 | 65 |
| 32.68 | 43 |
| 33.22 | 100 |
| 33.74 | 68 |
| 34.04 | 43 |
| 34.35 | 97 |
| 36.72 | 34 |
| 62.11 | 34 |
| 65.93 | 32 |

Cell and atoms:
Lattice parameters (Å, degrees): 17.421 17.421 3.330 90.00 90.00 162.46
Fractional coordinates of all 11 atoms:
Nd (0.000, 0.000, 0.000)
Tm (0.184, 0.816, 0.000)
Tm (0.440, 0.560, 0.000)
Tm (0.560, 0.440, 0.000)
Tm (0.816, 0.184, 0.000)
Sc (0.094, 0.906, 0.500)
Sc (0.271, 0.729, 0.500)
Sc (0.358, 0.642, 0.500)
Sc (0.642, 0.358, 0.500)
Sc (0.729, 0.271, 0.500)
Sc (0.906, 0.094, 0.500)

---

# Nd2Y2TmSc
Simulated powder XRD pattern, Cu Kα X-rays. Input: DFT lattice parameters and positions (PBE).
No peak broadening, texture or thermal motion is included.

Most intense lines, 15 to 90 degrees two-theta, by angle:
| 2θ (°) | Rel. int. |
| --- | --- |
| 22.34 | 17 |
| 31.49 | 100 |
| 32.11 | 96 |
| 45.59 | 34 |
| 52.04 | 8 |
| 56.82 | 22 |
| 56.93 | 12 |
| 57.30 | 12 |
| 62.48 | 28 |
| 81.06 | 9 |

Cell and atoms:
Lattice parameters (Å, degrees): 5.566 9.672 7.029 90.00 90.00 90.00
Fractional coordinates of all 12 atoms:
Nd (0.000, 0.146, 0.000)
Nd (0.000, 0.854, 0.500)
Nd (0.500, 0.313, 0.501)
Nd (0.500, 0.687, 0.001)
Y (0.000, 0.500, 0.250)
Y (0.000, 0.500, 0.750)
Y (0.500, 0.343, 0.000)
Y (0.500, 0.657, 0.500)
Tm (0.500, 0.000, 0.250)
Tm (0.500, 0.000, 0.750)
Sc (0.000, 0.179, 0.500)
Sc (0.000, 0.821, 0.000)

---

# Nd2YTmSc4
Simulated powder XRD pattern, Cu Kα X-rays. Input: DFT lattice parameters and positions (PBE).
No peak broadening, texture or thermal motion is included.

Most intense lines, 15 to 90 degrees two-theta, by angle:
| 2θ (°) | Rel. int. |
| --- | --- |
| 19.27 | 22 |
| 25.29 | 23 |
| 31.99 | 100 |
| 36.07 | 36 |
| 39.12 | 14 |
| 41.22 | 13 |
| 51.93 | 12 |
| 54.26 | 22 |
| 62.31 | 28 |
| 66.44 | 12 |

Cell and atoms:
Lattice parameters (Å, degrees): 4.980 4.980 9.211 90.00 90.00 90.00
Fractional coordinates of all 8 atoms:
Nd (0.000, 0.000, 0.000)
Nd (0.500, 0.500, 0.500)
Y (0.000, 0.000, 0.500)
Tm (0.500, 0.500, 0.000)
Sc (0.000, 0.500, 0.248)
Sc (0.000, 0.500, 0.752)
Sc (0.500, 0.000, 0.248)
Sc (0.500, 0.000, 0.752)

---

Repeat the second record exactly.
# Nd2Y2TmSc
Simulated powder XRD pattern, Cu Kα X-rays. Input: DFT lattice parameters and positions (PBE).
No peak broadening, texture or thermal motion is included.

Most intense lines, 15 to 90 degrees two-theta, by angle:
| 2θ (°) | Rel. int. |
| --- | --- |
| 22.34 | 17 |
| 31.49 | 100 |
| 32.11 | 96 |
| 45.59 | 34 |
| 52.04 | 8 |
| 56.82 | 22 |
| 56.93 | 12 |
| 57.30 | 12 |
| 62.48 | 28 |
| 81.06 | 9 |

Cell and atoms:
Lattice parameters (Å, degrees): 5.566 9.672 7.029 90.00 90.00 90.00
Fractional coordinates of all 12 atoms:
Nd (0.000, 0.146, 0.000)
Nd (0.000, 0.854, 0.500)
Nd (0.500, 0.313, 0.501)
Nd (0.500, 0.687, 0.001)
Y (0.000, 0.500, 0.250)
Y (0.000, 0.500, 0.750)
Y (0.500, 0.343, 0.000)
Y (0.500, 0.657, 0.500)
Tm (0.500, 0.000, 0.250)
Tm (0.500, 0.000, 0.750)
Sc (0.000, 0.179, 0.500)
Sc (0.000, 0.821, 0.000)